Computed X-ray diffraction stick pattern of PaBeCo4 for Cu Ka, from a cell relaxed with GGA-PBE.
Neutral-atom scattering factors, no anomalous dispersion.

Structural model:
abc: 6.4601 3.5676 6.5048
angles: 90.00 90.00 90.00
Atoms (fractional coordinates):
Pa  0.2500  0.0000  0.1441
Pa  0.7500  0.0000  0.8559
Be  0.2500  0.0000  0.7149
Be  0.7500  0.0000  0.2851
Co  0.0000  0.0000  0.5000
Co  0.0464  0.5000  0.8033
Co  0.2500  0.5000  0.4818
Co  0.4536  0.5000  0.8033
Co  0.5000  0.0000  0.5000
Co  0.5464  0.5000  0.1967
Co  0.7500  0.5000  0.5182
Co  0.9536  0.5000  0.1967

Top 8 peaks for 2θ = 10–90°, in order of falling intensity:
2θ = 40.13°, I 100
2θ = 31.78°, I 84
2θ = 40.03°, I 77
2θ = 19.36°, I 72
2θ = 47.13°, I 48
2θ = 41.65°, I 47
2θ = 30.78°, I 40
2θ = 69.96°, I 34